# 1
# Ce2Ho2SiIr4
Calculated powder diffractogram, Cu Kα, 1.54184 Å. Input: a DFT-relaxed cell (GGA-PBE, Alexandria).

Structure:
```
Ce2Ho2SiIr4
1.0
-3.167 3.167 4.615
3.167 -3.167 4.615
3.167 3.167 -4.615
Ce Ho Si Ir
2 2 1 4
Direct
0.194 0.194 0.000
0.806 0.806 0.000
0.250 0.750 0.500
0.750 0.250 0.500
0.500 0.500 0.000
0.240 0.240 0.479
0.240 0.760 0.000
0.760 0.240 0.000
0.760 0.760 0.521
```

Largest 10 diffraction maxima, in order of falling intensity, 2θ = 10–90°:
2θ (°), d/Å, Rel. int.
34.3, 2.611, 100
40.3, 2.240, 39
69.4, 1.354, 25
57.3, 1.607, 19
39.0, 2.307, 15
58.3, 1.584, 13
72.4, 1.306, 9
67.7, 1.384, 7
43.4, 2.084, 7
17.0, 5.223, 5

=====

# 2
# B10Pb6O21
Calculated powder diffractogram, Cu Kα, 1.54184 Å. Input: a DFT-relaxed cell (GGA-PBE, Alexandria).

Structure:
```
B10Pb6O21
1.0
6.945 0.000 0.000
3.432 6.235 0.000
2.475 0.127 11.264
B Pb O
10 6 21
Direct
0.031 0.175 0.074
0.055 0.925 0.707
0.223 0.684 0.253
0.283 0.627 0.556
0.332 0.972 0.199
0.668 0.028 0.801
0.717 0.373 0.444
0.777 0.316 0.747
0.945 0.075 0.293
0.969 0.825 0.926
0.157 0.346 0.802
0.259 0.247 0.426
0.458 0.739 0.911
0.542 0.261 0.089
0.741 0.753 0.574
0.843 0.654 0.198
0.001 0.840 0.294
0.047 0.721 0.025
0.126 0.829 0.826
0.129 0.561 0.554
0.148 0.084 0.296
0.240 0.810 0.612
0.257 0.074 0.082
0.267 0.474 0.257
0.387 0.740 0.202
0.471 0.011 0.792
0.500 0.500 0.500
0.529 0.989 0.208
0.613 0.260 0.798
0.733 0.526 0.743
0.743 0.926 0.918
0.760 0.190 0.388
0.852 0.916 0.704
0.871 0.439 0.446
0.874 0.171 0.174
0.953 0.279 0.975
0.999 0.160 0.706
```

Largest 10 diffraction maxima, in order of falling intensity, 2θ = 10–90°:
2θ (°), d/Å, Rel. int.
27.9, 3.201, 100
25.5, 3.496, 97
23.6, 3.766, 86
27.6, 3.230, 83
14.9, 5.937, 73
15.5, 5.729, 48
29.5, 3.032, 46
28.6, 3.117, 46
28.2, 3.167, 46
42.7, 2.120, 39

=====

# 3
# AcCo2
Calculated powder diffractogram, Cu Kα, 1.54184 Å. Input: a DFT-relaxed cell (GGA-PBE, Alexandria).

Structure:
```
AcCo2
1.0
4.007 0.000 0.000
-2.003 3.470 0.000
0.000 0.000 4.468
Ac Co
1 2
Direct
0.000 0.000 0.000
0.333 0.667 0.500
0.667 0.333 0.500
```

Largest 10 diffraction maxima, in order of falling intensity, 2θ = 10–90°:
2θ (°), d/Å, Rel. int.
32.7, 2.740, 100
45.3, 2.003, 30
25.7, 3.470, 28
62.2, 1.491, 23
56.9, 1.617, 21
75.6, 1.258, 18
68.5, 1.369, 16
40.4, 2.234, 14
86.0, 1.130, 11
48.5, 1.878, 11

=====

# 4
# Pu3TlBr8
Calculated powder diffractogram, Cu Kα, 1.54184 Å. Input: a DFT-relaxed cell (GGA-PBE, Alexandria).

Structure:
```
Pu3TlBr8
1.0
4.297 2.481 7.976
-4.297 2.481 7.976
0.000 -4.962 7.976
Pu Tl Br
3 1 8
Direct
0.000 0.500 0.500
0.500 0.000 0.500
0.500 0.500 0.000
0.500 0.500 0.500
0.240 0.240 0.725
0.240 0.725 0.240
0.264 0.264 0.264
0.275 0.760 0.760
0.725 0.240 0.240
0.736 0.736 0.736
0.760 0.275 0.760
0.760 0.760 0.275
```

Largest 10 diffraction maxima, in order of falling intensity, 2θ = 10–90°:
2θ (°), d/Å, Rel. int.
28.2, 3.160, 100
12.5, 7.107, 58
11.1, 7.976, 56
38.6, 2.331, 37
42.1, 2.148, 36
23.5, 3.783, 26
51.4, 1.777, 19
35.7, 2.517, 19
68.5, 1.369, 16
22.1, 4.025, 13

=====

# 5
# MgReW4
Calculated powder diffractogram, Cu Kα, 1.54184 Å. Input: a DFT-relaxed cell (GGA-PBE, Alexandria).

Structure:
```
MgReW4
1.0
0.000 3.715 3.715
3.715 0.000 3.715
3.715 3.715 0.000
Mg Re W
1 1 4
Direct
0.000 0.000 0.000
0.750 0.750 0.750
0.375 0.375 0.375
0.375 0.375 0.876
0.375 0.876 0.375
0.876 0.375 0.375
```

Largest 10 diffraction maxima, in order of falling intensity, 2θ = 10–90°:
2θ (°), d/Å, Rel. int.
40.3, 2.240, 100
42.1, 2.145, 59
20.7, 4.290, 38
65.2, 1.430, 33
71.9, 1.314, 29
87.0, 1.120, 23
49.0, 1.858, 14
34.1, 2.627, 13
85.7, 1.133, 12
53.8, 1.705, 9

=====

# 6
# LaBePt3
Calculated powder diffractogram, Cu Kα, 1.54184 Å. Input: a DFT-relaxed cell (GGA-PBE, Alexandria).

Structure:
```
LaBePt3
1.0
2.943 -5.227 0.000
2.943 5.227 0.000
0.000 0.000 5.796
La Be Pt
2 2 6
Direct
0.244 0.756 0.750
0.756 0.244 0.250
0.096 0.904 0.250
0.904 0.096 0.750
0.257 0.257 0.000
0.257 0.257 0.500
0.312 0.688 0.250
0.688 0.312 0.750
0.743 0.743 0.000
0.743 0.743 0.500
```

Largest 10 diffraction maxima, in order of falling intensity, 2θ = 10–90°:
2θ (°), d/Å, Rel. int.
35.0, 2.564, 100
35.4, 2.534, 97
43.8, 2.065, 65
34.3, 2.613, 33
56.8, 1.620, 31
74.6, 1.273, 22
75.3, 1.262, 22
22.9, 3.882, 13
63.2, 1.472, 12
64.3, 1.449, 11